Structure and theoretical XRD peak list of NaNiO3 (DFT lattice parameters and positions (GGA+U); Cu Kα X-rays).
Peak positions follow from Bragg's law for the DFT cell and can differ from measured ones.

Cell and atoms:
Cell: 3.8212 3.8212 3.8212 Å, 90.00 90.00 90.00°
Sites, in units of the cell vectors:
Na 0.0000 0.0000 0.0000
Ni 0.5000 0.5000 0.5000
O 0.0000 0.5000 0.5000
O 0.5000 0.0000 0.5000
O 0.5000 0.5000 0.0000

Principal peaks in the range 2θ = 10–80°, in order of falling intensity:
2.702 Å, 33.16 deg, rel. 100, hkl 1 1 0; 3.821 Å, 23.28 deg, rel. 81, hkl 1 0 0; 1.911 Å, 47.59 deg, rel. 59, hkl 2 0 0; 1.560 Å, 59.23 deg, rel. 37, hkl 2 1 1; 1.351 Å, 69.59 deg, rel. 31, hkl 2 2 0; 1.709 Å, 53.63 deg, rel. 27, hkl 2 1 0; 1.208 Å, 79.28 deg, rel. 15, hkl 3 1 0; 1.274 Å, 74.49 deg, rel. 12, hkl 3 0 0

Structure and theoretical XRD peak list of Mg14CoNiO16 (DFT lattice parameters and positions (GGA+U); Cu Kα X-rays).
Peak positions follow from Bragg's law for the DFT cell and can differ from measured ones.

Cell and atoms:
Cell: 4.2362 8.5174 8.5222 Å, 90.00 90.00 90.00°
Sites, in units of the cell vectors:
Mg 0.0000 0.0000 0.0000
Mg 0.0000 0.2498 0.2513
Mg 0.0000 0.2498 0.7487
Mg 0.0000 0.5000 0.0000
Mg 0.0000 0.7502 0.2513
Mg 0.0000 0.7502 0.7487
Mg 0.5000 0.0000 0.2496
Mg 0.5000 0.0000 0.7504
Mg 0.5000 0.2502 0.0000
Mg 0.5000 0.2513 0.5000
Mg 0.5000 0.5000 0.2510
Mg 0.5000 0.5000 0.7490
Mg 0.5000 0.7487 0.5000
Mg 0.5000 0.7498 0.0000
Co 0.0000 0.0000 0.5000
Ni 0.0000 0.5000 0.5000
O 0.0000 0.0000 0.2471
O 0.0000 0.0000 0.7529
O 0.0000 0.2503 0.0000
O 0.0000 0.2527 0.5000
O 0.0000 0.5000 0.2493
O 0.0000 0.5000 0.7507
O 0.0000 0.7473 0.5000
O 0.0000 0.7497 0.0000
O 0.5000 0.0000 0.0000
O 0.5000 0.0000 0.5000
O 0.5000 0.2496 0.2512
O 0.5000 0.2496 0.7488
O 0.5000 0.5000 0.0000
O 0.5000 0.5000 0.5000
O 0.5000 0.7504 0.2512
O 0.5000 0.7504 0.7488

Principal peaks in the range 2θ = 10–80°, in order of falling intensity:
2.130 Å, 42.44 deg, rel. 100, hkl 0 4 0; 1.502 Å, 61.77 deg, rel. 56, hkl 2 4 0; 2.118 Å, 42.69 deg, rel. 49, hkl 2 0 0; 1.506 Å, 61.58 deg, rel. 28, hkl 0 4 4; 2.455 Å, 36.61 deg, rel. 28, hkl 1 2 2; 1.227 Å, 77.82 deg, rel. 25, hkl 2 4 4; 8.522 Å, 10.38 deg, rel. 16, hkl 0 0 1; 1.284 Å, 73.81 deg, rel. 10, hkl 1 6 2; 3.007 Å, 29.71 deg, rel. 9, hkl 1 2 0; 4.260 Å, 20.85 deg, rel. 7, hkl 0 2 0

Structure and theoretical XRD peak list of Ca3Co2O7 (DFT lattice parameters and positions (GGA+U); Cu Kα X-rays).
Peak positions follow from Bragg's law for the DFT cell and can differ from measured ones.

Cell and atoms:
Cell: 5.2946 5.4057 10.0069 Å, 89.91 74.71 89.84°
Sites, in units of the cell vectors:
Ca 0.0000 0.0000 0.0000
Ca 0.1129 0.4984 0.7452
Ca 0.3037 0.4067 0.3658
Ca 0.4859 0.5000 0.9998
Ca 0.6288 0.9985 0.7451
Ca 0.8175 0.9066 0.3658
Co 0.2115 0.9564 0.5651
Co 0.4070 0.9550 0.1747
Co 0.7103 0.4566 0.5651
Co 0.9047 0.4549 0.1746
O 0.0000 0.6389 0.5380
O 0.0533 0.4485 0.9808
O 0.0603 0.9509 0.7648
O 0.0976 0.1664 0.2054
O 0.1830 0.6664 0.2055
O 0.3890 0.9743 0.3654
O 0.4267 0.2656 0.5904
O 0.4523 0.9488 0.9808
O 0.4704 0.7659 0.5902
O 0.6306 0.2450 0.1443
O 0.6612 0.4518 0.7649
O 0.7115 0.7451 0.1443
O 0.7320 0.4744 0.3655
O 0.9493 0.1393 0.5378

Principal peaks in the range 2θ = 10–80°, in order of falling intensity:
2.702 Å, 33.15 deg, rel. 100, hkl 0 2 0; 2.647 Å, 33.86 deg, rel. 25, hkl 2 0 1; 1.931 Å, 47.07 deg, rel. 17, hkl 0 0 5; 1.894 Å, 48.04 deg, rel. 16, hkl 2 2 1; 1.889 Å, 48.18 deg, rel. 16, hkl 2 -2 1; 4.826 Å, 18.38 deg, rel. 15, hkl 0 0 2; 3.712 Å, 23.97 deg, rel. 13, hkl 1 -1 1; 1.539 Å, 60.11 deg, rel. 12, hkl 3 1 -1; 1.561 Å, 59.20 deg, rel. 11, hkl 2 0 -4; 1.571 Å, 58.78 deg, rel. 8, hkl 0 2 -5

Copy entry 2 word for word.
Structure and theoretical XRD peak list of Mg14CoNiO16 (DFT lattice parameters and positions (GGA+U); Cu Kα X-rays).
Peak positions follow from Bragg's law for the DFT cell and can differ from measured ones.

Cell and atoms:
Cell: 4.2362 8.5174 8.5222 Å, 90.00 90.00 90.00°
Sites, in units of the cell vectors:
Mg 0.0000 0.0000 0.0000
Mg 0.0000 0.2498 0.2513
Mg 0.0000 0.2498 0.7487
Mg 0.0000 0.5000 0.0000
Mg 0.0000 0.7502 0.2513
Mg 0.0000 0.7502 0.7487
Mg 0.5000 0.0000 0.2496
Mg 0.5000 0.0000 0.7504
Mg 0.5000 0.2502 0.0000
Mg 0.5000 0.2513 0.5000
Mg 0.5000 0.5000 0.2510
Mg 0.5000 0.5000 0.7490
Mg 0.5000 0.7487 0.5000
Mg 0.5000 0.7498 0.0000
Co 0.0000 0.0000 0.5000
Ni 0.0000 0.5000 0.5000
O 0.0000 0.0000 0.2471
O 0.0000 0.0000 0.7529
O 0.0000 0.2503 0.0000
O 0.0000 0.2527 0.5000
O 0.0000 0.5000 0.2493
O 0.0000 0.5000 0.7507
O 0.0000 0.7473 0.5000
O 0.0000 0.7497 0.0000
O 0.5000 0.0000 0.0000
O 0.5000 0.0000 0.5000
O 0.5000 0.2496 0.2512
O 0.5000 0.2496 0.7488
O 0.5000 0.5000 0.0000
O 0.5000 0.5000 0.5000
O 0.5000 0.7504 0.2512
O 0.5000 0.7504 0.7488

Principal peaks in the range 2θ = 10–80°, in order of falling intensity:
2.130 Å, 42.44 deg, rel. 100, hkl 0 4 0; 1.502 Å, 61.77 deg, rel. 56, hkl 2 4 0; 2.118 Å, 42.69 deg, rel. 49, hkl 2 0 0; 1.506 Å, 61.58 deg, rel. 28, hkl 0 4 4; 2.455 Å, 36.61 deg, rel. 28, hkl 1 2 2; 1.227 Å, 77.82 deg, rel. 25, hkl 2 4 4; 8.522 Å, 10.38 deg, rel. 16, hkl 0 0 1; 1.284 Å, 73.81 deg, rel. 10, hkl 1 6 2; 3.007 Å, 29.71 deg, rel. 9, hkl 1 2 0; 4.260 Å, 20.85 deg, rel. 7, hkl 0 2 0

Copy entry 2 word for word.
Structure and theoretical XRD peak list of Mg14CoNiO16 (DFT lattice parameters and positions (GGA+U); Cu Kα X-rays).
Peak positions follow from Bragg's law for the DFT cell and can differ from measured ones.

Cell and atoms:
Cell: 4.2362 8.5174 8.5222 Å, 90.00 90.00 90.00°
Sites, in units of the cell vectors:
Mg 0.0000 0.0000 0.0000
Mg 0.0000 0.2498 0.2513
Mg 0.0000 0.2498 0.7487
Mg 0.0000 0.5000 0.0000
Mg 0.0000 0.7502 0.2513
Mg 0.0000 0.7502 0.7487
Mg 0.5000 0.0000 0.2496
Mg 0.5000 0.0000 0.7504
Mg 0.5000 0.2502 0.0000
Mg 0.5000 0.2513 0.5000
Mg 0.5000 0.5000 0.2510
Mg 0.5000 0.5000 0.7490
Mg 0.5000 0.7487 0.5000
Mg 0.5000 0.7498 0.0000
Co 0.0000 0.0000 0.5000
Ni 0.0000 0.5000 0.5000
O 0.0000 0.0000 0.2471
O 0.0000 0.0000 0.7529
O 0.0000 0.2503 0.0000
O 0.0000 0.2527 0.5000
O 0.0000 0.5000 0.2493
O 0.0000 0.5000 0.7507
O 0.0000 0.7473 0.5000
O 0.0000 0.7497 0.0000
O 0.5000 0.0000 0.0000
O 0.5000 0.0000 0.5000
O 0.5000 0.2496 0.2512
O 0.5000 0.2496 0.7488
O 0.5000 0.5000 0.0000
O 0.5000 0.5000 0.5000
O 0.5000 0.7504 0.2512
O 0.5000 0.7504 0.7488

Principal peaks in the range 2θ = 10–80°, in order of falling intensity:
2.130 Å, 42.44 deg, rel. 100, hkl 0 4 0; 1.502 Å, 61.77 deg, rel. 56, hkl 2 4 0; 2.118 Å, 42.69 deg, rel. 49, hkl 2 0 0; 1.506 Å, 61.58 deg, rel. 28, hkl 0 4 4; 2.455 Å, 36.61 deg, rel. 28, hkl 1 2 2; 1.227 Å, 77.82 deg, rel. 25, hkl 2 4 4; 8.522 Å, 10.38 deg, rel. 16, hkl 0 0 1; 1.284 Å, 73.81 deg, rel. 10, hkl 1 6 2; 3.007 Å, 29.71 deg, rel. 9, hkl 1 2 0; 4.260 Å, 20.85 deg, rel. 7, hkl 0 2 0